Computed X-ray powder pattern of Pm8Tm2Cd for Cu Ka, from a GGA-PBE-relaxed structure.

Main lines, low angle first (10° ≤ 2θ ≤ 90°):
2.916 Å, 30.66°, I = 100.0; 2.551 Å, 35.18°, I = 17.1; 2.535 Å, 35.41°, I = 17.4; 2.490 Å, 36.07°, I = 15.7; 1.798 Å, 50.77°, I = 12.1; 1.778 Å, 51.41°, I = 16.6; 1.527 Å, 60.64°, I = 14.3; 1.507 Å, 61.52°, I = 12.3

Structural model:
Lattice parameters (Å, degrees): 6.212 6.212 12.717 103.05 103.05 48.17
Sites, in units of the cell vectors:
Pm (0.037, 0.037, 0.322)
Pm (0.141, 0.141, 0.953)
Pm (0.243, 0.243, 0.588)
Pm (0.409, 0.409, 0.860)
Pm (0.591, 0.591, 0.140)
Pm (0.757, 0.757, 0.412)
Pm (0.859, 0.859, 0.047)
Pm (0.963, 0.963, 0.678)
Tm (0.315, 0.315, 0.237)
Tm (0.685, 0.685, 0.763)
Cd (0.500, 0.500, 0.500)